Pr6MgSn3: simulated powder X-ray diffraction pattern (copper Kα), based on a cell relaxed with PBE.
No peak broadening, texture or thermal motion is included.

Top 10 peaks for 5 to 70 degrees two-theta, by intensity:
two_theta, intensity
30.85, 1000
33.39, 481
28.95, 399
53.19, 254
40.16, 193
62.46, 129
48.67, 128
59.21, 124
29.77, 116
67.23, 107

```
data_Pr6MgSn3
_cell_length_a 11.991
_cell_length_b 12.009
_cell_length_c 8.982
_cell_angle_alpha 90.00
_cell_angle_beta 90.00
_cell_angle_gamma 90.00
_space_group_name_H-M_alt 'C m c m'
_space_group_IT_number 63
_space_group_name_Hall '-C 2c 2'
loop_
_atom_site_label
_atom_site_fract_x
_atom_site_fract_y
_atom_site_fract_z
Pr1 0.000 0.166 0.006
Pr2 0.175 0.500 0.000
Pr3 0.250 0.245 0.750
Mg1 0.000 0.379 0.750
Sn1 0.000 0.372 0.250
Sn2 0.129 0.001 0.250
```

---

Sr5PrMg6: simulated powder X-ray diffraction pattern (copper Kα), based on a cell relaxed with PBE.
No peak broadening, texture or thermal motion is included.

Top 10 peaks for 5 to 70 degrees two-theta, by intensity:
two_theta, intensity
30.69, 1000
21.34, 415
30.29, 263
30.41, 256
21.80, 203
37.68, 199
54.06, 197
54.21, 189
54.76, 182
63.90, 112

```
data_Sr5PrMg6
_cell_length_a 18.583
_cell_length_b 8.155
_cell_length_c 5.901
_cell_angle_alpha 90.00
_cell_angle_beta 108.38
_cell_angle_gamma 90.00
_space_group_name_H-M_alt 'C 1 2/m 1'
_space_group_IT_number 12
loop_
_space_group_symop_operation_xyz
'x,y,z'
'-x,-y,-z'
'-x,y,-z'
'x,-y,z'
'x+1/2,y+1/2,z'
'-x+1/2,-y+1/2,-z'
'-x+1/2,y+1/2,-z'
'x+1/2,-y+1/2,z'
loop_
_atom_site_label
_atom_site_fract_x
_atom_site_fract_y
_atom_site_fract_z
Sr1 0.000 0.000 0.000
Sr2 0.163 0.000 0.664
Sr3 0.172 0.500 0.673
Pr1 0.000 0.500 0.000
Mg1 0.000 0.276 0.500
Mg2 0.161 0.266 0.162
```

---

SrPrMg4: simulated powder X-ray diffraction pattern (copper Kα), based on a cell relaxed with PBE.
No peak broadening, texture or thermal motion is included.

Top 10 peaks for 5 to 70 degrees two-theta, by intensity:
two_theta, intensity
33.44, 1000
28.41, 858
17.28, 480
50.30, 350
53.58, 341
58.77, 225
66.55, 150
44.43, 131
69.34, 117
61.75, 102

```
data_SrPrMg4
_cell_length_a 8.887
_cell_length_b 8.887
_cell_length_c 8.887
_cell_angle_alpha 90.00
_cell_angle_beta 90.00
_cell_angle_gamma 90.00
_space_group_name_H-M_alt 'F -4 3 m'
_space_group_IT_number 216
_space_group_name_Hall 'F -4 2 3'
loop_
_atom_site_label
_atom_site_fract_x
_atom_site_fract_y
_atom_site_fract_z
Sr1 0.000 0.000 0.000
Pr1 0.250 0.250 0.750
Mg1 0.124 0.124 0.376
```

---

Sr2PrMg9: simulated powder X-ray diffraction pattern (copper Kα), based on a cell relaxed with PBE.
No peak broadening, texture or thermal motion is included.

Top 10 peaks for 5 to 70 degrees two-theta, by intensity:
two_theta, intensity
33.68, 1000
26.30, 627
28.56, 587
28.69, 429
16.63, 422
33.23, 377
53.91, 359
50.63, 291
49.22, 214
59.12, 185

```
data_Sr2PrMg9
_cell_length_a 6.2509
_cell_length_b 6.2509
_cell_length_c 30.4271
_cell_angle_alpha 90.00
_cell_angle_beta 90.00
_cell_angle_gamma 120.00
_space_group_name_H-M_alt 'R -3 m'
_space_group_IT_number 166
_space_group_name_Hall '-R 3 2"'
loop_
_atom_site_label
_atom_site_fract_x
_atom_site_fract_y
_atom_site_fract_z
Sr1 0.0000 0.0000 0.1412
Pr1 0.0000 0.0000 0.0000
Mg1 0.0000 0.0000 0.3336
Mg2 0.0000 0.0000 0.5000
Mg3 0.0012 0.5006 0.9196
```

---

SrPr3Mg4: simulated powder X-ray diffraction pattern (copper Kα), based on a cell relaxed with PBE.
No peak broadening, texture or thermal motion is included.

Top 10 peaks for 5 to 70 degrees two-theta, by intensity:
two_theta, intensity
31.85, 1000
22.38, 535
56.76, 377
51.43, 231
45.67, 182
39.28, 167
66.57, 115
7.86, 44
15.77, 13
28.64, 10

```
data_SrPr3Mg4
_cell_length_a 3.969
_cell_length_b 5.622
_cell_length_c 11.242
_cell_angle_alpha 90.00
_cell_angle_beta 90.00
_cell_angle_gamma 90.00
_space_group_name_H-M_alt 'P m m m'
_space_group_IT_number 47
loop_
_space_group_symop_operation_xyz
'x,y,z'
'-x,-y,-z'
'-x,-y,z'
'x,y,-z'
'x,-y,-z'
'-x,y,z'
'-x,y,-z'
'x,-y,z'
loop_
_atom_site_label
_atom_site_fract_x
_atom_site_fract_y
_atom_site_fract_z
Sr1 0.000 0.000 0.000
Pr1 0.000 0.000 0.500
Pr2 0.000 0.500 0.255
Mg1 0.500 0.000 0.260
Mg2 0.500 0.500 0.000
Mg3 0.500 0.500 0.500
```

---

Pr2MgTa: simulated powder X-ray diffraction pattern (copper Kα), based on a cell relaxed with PBE.
No peak broadening, texture or thermal motion is included.

Top 10 peaks for 5 to 70 degrees two-theta, by intensity:
two_theta, intensity
7.29, 1000
32.19, 711
32.48, 529
29.48, 446
65.67, 332
42.41, 323
45.96, 276
40.78, 264
57.22, 207
47.86, 193

```
data_Pr2MgTa
_cell_length_a 3.2201
_cell_length_b 3.2201
_cell_length_c 36.3588
_cell_angle_alpha 90.00
_cell_angle_beta 90.00
_cell_angle_gamma 120.00
_space_group_name_H-M_alt 'R -3 m'
_space_group_IT_number 166
_space_group_name_Hall '-R 3 2"'
loop_
_atom_site_label
_atom_site_fract_x
_atom_site_fract_y
_atom_site_fract_z
Pr1 0.0000 0.0000 0.0826
Mg1 0.0000 0.0000 0.5000
Ta1 0.0000 0.0000 0.0000
```